No. 1
This entry pairs a crystal structure of La2Cd with its simulated powder XRD pattern. Radiation: a wavelength of 1.5418 Å. Structure: a crystal structure in Alexandria, relaxed with GGA-PBE.
Lines closer than 0.1° are merged.

Atomic structure:
a b c (Å): 5.551 5.559 12.764
angles (deg): 90.00 90.00 90.00
Space group Fmmm (No. 69)
Symmetry-distinct sites (fractional):
La (0.000, 0.000, 0.152) (multiplicity 8)
Cd (0.000, 0.000, 0.500) (multiplicity 4)

Most intense lines, 5 to 70 degrees two-theta, in order of rising 2θ:
| Position (°2θ) | d [Å] | I_rel | hkl |
| --- | --- | --- | --- |
| 31.0 | 2.886 | 100 | 1 1 3 |
| 32.2 | 2.777 | 47 | 2 0 0 |
| 42.5 | 2.127 | 9 | 0 0 6 |
| 43.2 | 2.095 | 3 | 2 0 4 |
| 46.2 | 1.964 | 17 | 2 2 0 |
| 54.3 | 1.689 | 17 | 2 0 6 |
| 56.7 | 1.624 | 35 | 3 1 3 |
| 64.6 | 1.443 | 10 | 2 2 6 |
| 67.4 | 1.390 | 3 | 0 4 0 |
| 67.5 | 1.388 | 3 | 4 0 0 |

No. 2
This entry pairs a crystal structure of CsMnZn2Br8 with its simulated powder XRD pattern. Radiation: a wavelength of 1.5418 Å. Structure: a crystal structure in Alexandria, relaxed with GGA-PBE.
Lines closer than 0.1° are merged.

Atomic structure:
a b c (Å): 6.6320 6.6320 32.7207
angles (deg): 90.00 90.00 120.00
Space group R-3 (No. 148, hexagonal axes)
Symmetry-distinct sites (fractional):
Cs (0.0000, 0.0000, 0.0000) (multiplicity 3)
Mn (0.0000, 0.0000, 0.5000) (multiplicity 3)
Zn (0.0000, 0.0000, 0.2350) (multiplicity 6)
Br (0.0000, 0.0000, 0.3078) (multiplicity 6)
Br (0.0107, 0.6494, 0.2129) (multiplicity 18)

Most intense lines, 5 to 70 degrees two-theta, in order of rising 2θ:
| Position (°2θ) | d [Å] | I_rel | hkl |
| --- | --- | --- | --- |
| 8.1 | 10.907 | 27 | 0 0 3 |
| 18.9 | 4.701 | 68 | 1 0 4 |
| 24.5 | 3.635 | 48 | 0 0 9 |
| 28.1 | 3.173 | 100 | 2 -1 3 |
| 31.6 | 2.833 | 77 | 1 1 6 |
| 33.1 | 2.710 | 21 | 0 2 4 |
| 42.9 | 2.106 | 28 | 2 -1 12 |
| 47.5 | 1.915 | 52 | 3 0 0 |
| 50.0 | 1.823 | 24 | 2 -1 15 |
| 54.1 | 1.694 | 26 | 3 0 9 |

No. 3
This entry pairs a crystal structure of Hg8BiPb2 with its simulated powder XRD pattern. Radiation: a wavelength of 1.5418 Å. Structure: a crystal structure in Alexandria, relaxed with GGA-PBE.
Lines closer than 0.1° are merged.

Atomic structure:
a b c (Å): 7.204 5.899 8.472
angles (deg): 90.00 104.34 90.00
Space group P2/m (No. 10)
Symmetry-distinct sites (fractional):
Hg (0.000, 0.000, 0.000) (multiplicity 1)
Hg (0.165, 0.500, 0.661) (multiplicity 2)
Hg (0.320, 0.000, 0.809) (multiplicity 2)
Hg (0.321, 0.000, 0.345) (multiplicity 2)
Hg (0.500, 0.500, 0.000) (multiplicity 1)
Bi (0.500, 0.500, 0.500) (multiplicity 1)
Pb (0.159, 0.500, 0.172) (multiplicity 2)

Most intense lines, 5 to 70 degrees two-theta, in order of rising 2θ:
| Position (°2θ) | d [Å] | I_rel | hkl |
| --- | --- | --- | --- |
| 29.2 | 3.059 | 62 | 2 0 -2 |
| 30.3 | 2.950 | 59 | 0 2 0 |
| 31.8 | 2.818 | 100 | 1 1 2 |
| 41.7 | 2.164 | 48 | 3 1 0 |
| 42.6 | 2.123 | 46 | 2 2 -2 |
| 45.5 | 1.991 | 36 | 1 1 -4 |
| 54.8 | 1.676 | 22 | 1 3 2 |
| 61.8 | 1.502 | 16 | 3 3 0 |
| 64.7 | 1.440 | 13 | 1 3 -4 |
| 66.3 | 1.409 | 12 | 2 2 4 |

No. 4
This entry pairs a crystal structure of Mg2In5 with its simulated powder XRD pattern. Radiation: a wavelength of 1.5418 Å. Structure: a crystal structure in Alexandria, relaxed with GGA-PBE.
Lines closer than 0.1° are merged.

Atomic structure:
a b c (Å): 9.612 9.612 7.952
angles (deg): 90.00 90.00 90.00
Space group I4/mmm (No. 139)
Symmetry-distinct sites (fractional):
Mg (0.205, 0.205, 0.000) (multiplicity 8)
In (0.000, 0.000, 0.191) (multiplicity 4)
In (0.000, 0.292, 0.314) (multiplicity 16)

Most intense lines, 5 to 70 degrees two-theta, in order of rising 2θ:
| Position (°2θ) | d [Å] | I_rel | hkl |
| --- | --- | --- | --- |
| 22.4 | 3.976 | 55 | 0 0 2 |
| 23.5 | 3.781 | 55 | 2 1 1 |
| 26.2 | 3.398 | 36 | 2 2 0 |
| 29.4 | 3.040 | 40 | 3 1 0 |
| 34.7 | 2.583 | 30 | 2 2 2 |
| 37.2 | 2.415 | 27 | 3 1 2 |
| 37.4 | 2.403 | 54 | 4 0 0 |
| 39.8 | 2.266 | 44 | 3 3 0 |
| 40.0 | 2.256 | 100 | 2 1 3 |
| 62.8 | 1.481 | 58 | 5 2 3 |